(1)
Ba10BrN5Cl4: calculated powder diffractogram (Cu Kα (λ = 1.5418 Å)), based on a crystal structure in the Materials Project, relaxed with GGA-PBE.
Neutral-atom scattering factors, no anomalous dispersion.

Most intense lines, 10° ≤ 2θ ≤ 80°, low angle first:
| 2θ/deg | I_rel |
| --- | --- |
| 25.89 | 59 |
| 29.17 | 100 |
| 31.43 | 31 |
| 34.80 | 17 |
| 36.84 | 17 |
| 39.90 | 21 |
| 43.49 | 39 |
| 53.22 | 17 |
| 56.86 | 24 |
| 71.08 | 15 |

Structural model:
Cell: 38.741 38.741 38.741 Å, 6.16 6.16 6.16°
Fractional coordinates of all 20 atoms:
Ba1 0.047 0.047 0.047
Ba2 0.154 0.154 0.154
Ba3 0.246 0.246 0.246
Ba4 0.355 0.355 0.355
Ba5 0.446 0.446 0.446
Ba6 0.554 0.554 0.554
Ba7 0.645 0.645 0.645
Ba8 0.754 0.754 0.754
Ba9 0.846 0.846 0.846
Ba10 0.953 0.953 0.953
Br1 0.000 0.000 0.000
N1 0.100 0.100 0.100
N2 0.299 0.299 0.299
N3 0.500 0.500 0.500
N4 0.701 0.701 0.701
N5 0.900 0.900 0.900
Cl1 0.200 0.200 0.200
Cl2 0.400 0.400 0.400
Cl3 0.600 0.600 0.600
Cl4 0.800 0.800 0.800

---

(2)
NbAgO2: calculated powder diffractogram (Cu Kα (λ = 1.5418 Å)), based on a crystal structure in the Materials Project, relaxed with GGA-PBE.
Neutral-atom scattering factors, no anomalous dispersion.

Most intense lines, 10° ≤ 2θ ≤ 80°, low angle first:
| 2θ/deg | I_rel |
| --- | --- |
| 22.07 | 15 |
| 31.97 | 53 |
| 32.65 | 57 |
| 32.99 | 100 |
| 34.13 | 19 |
| 46.35 | 22 |
| 48.32 | 19 |
| 57.84 | 24 |
| 59.12 | 21 |
| 69.20 | 11 |

Structural model:
Cell: 5.435 5.435 12.004 Å, 90.00 90.00 92.25°
Fractional coordinates of all 24 atoms:
Nb1 0.000 0.500 0.000
Nb2 0.000 0.500 0.333
Nb3 0.000 0.500 0.667
Nb4 0.500 0.000 0.000
Nb5 0.500 0.000 0.333
Nb6 0.500 0.000 0.667
Ag1 0.000 0.000 0.115
Ag2 0.000 0.000 0.500
Ag3 0.000 0.000 0.885
Ag4 0.500 0.500 0.221
Ag5 0.500 0.500 0.500
Ag6 0.500 0.500 0.779
O1 0.000 0.500 0.165
O2 0.000 0.500 0.500
O3 0.000 0.500 0.835
O4 0.193 0.193 0.329
O5 0.193 0.193 0.671
O6 0.330 0.670 0.000
O7 0.500 0.000 0.165
O8 0.500 0.000 0.500
O9 0.500 0.000 0.835
O10 0.670 0.330 0.000
O11 0.807 0.807 0.329
O12 0.807 0.807 0.671

---

(3)
Cs2IrF6: calculated powder diffractogram (Cu Kα (λ = 1.5418 Å)), based on a crystal structure in the Materials Project, relaxed with GGA-PBE.
Neutral-atom scattering factors, no anomalous dispersion.

Most intense lines, 10° ≤ 2θ ≤ 80°, low angle first:
| 2θ/deg | I_rel |
| --- | --- |
| 23.74 | 100 |
| 28.15 | 61 |
| 37.15 | 49 |
| 38.75 | 27 |
| 47.25 | 28 |
| 48.58 | 20 |
| 57.09 | 22 |
| 58.21 | 13 |
| 61.63 | 13 |
| 63.75 | 14 |

Structural model:
Cell: 6.340 6.340 5.130 Å, 90.00 90.00 120.00°
Fractional coordinates of all 9 atoms:
Cs1 0.333 0.667 0.298
Cs2 0.667 0.333 0.702
Ir1 0.000 0.000 0.000
F1 0.150 0.299 0.786
F2 0.150 0.850 0.786
F3 0.299 0.150 0.214
F4 0.701 0.850 0.786
F5 0.850 0.150 0.214
F6 0.850 0.701 0.214

---

> Which formula does entry 1 have?

Ba10BrN5Cl4